Entry 1:
Simulated XRD peak list
Compound: CoAgF3
Radiation: CuKα
Structure: a structure optimized by DFT (PBE+U)
Neutral-atom scattering factors, no anomalous dispersion.

a = 4.3837 Å, b = 4.3837 Å, c = 4.3837 Å
α = 90.00°, β = 90.00°, γ = 90.00°
Space group Pm-3m (No. 221)
Symmetry-distinct sites (fractional):
Co  0.0000  0.0000  0.0000 x1
Ag  0.5000  0.5000  0.5000 x1
F  0.0000  0.5000  0.5000 x3

Main lines, low angle first (2θ from 15° to 90°):
- 20.26°, intensity 25, (1 0 0)
- 28.80°, intensity 100, (1 1 0)
- 41.19°, intensity 42, (2 0 0)
- 46.31°, intensity 10, (2 1 0)
- 51.03°, intensity 39, (2 1 1)
- 59.66°, intensity 25, (2 2 0)
- 63.68°, intensity 5, (3 0 0)
- 67.58°, intensity 16, (3 1 0)
- 75.06°, intensity 8, (2 2 2)
- 82.30°, intensity 19, (3 2 1)

=====

Entry 2:
Simulated XRD peak list
Compound: CoAgF3
Radiation: CuKα
Structure: a structure optimized by DFT (PBE+U)
Neutral-atom scattering factors, no anomalous dispersion.

a = 4.0450 Å, b = 4.0450 Å, c = 4.0450 Å
α = 90.00°, β = 90.00°, γ = 90.00°
Space group Pm-3m (No. 221)
Symmetry-distinct sites (fractional):
Co  0.0000  0.0000  0.0000 x1
Ag  0.5000  0.5000  0.5000 x1
F  0.0000  0.0000  0.5000 x3

Main lines, low angle first (2θ from 15° to 90°):
- 21.97°, intensity 4, (1 0 0)
- 31.27°, intensity 100, (1 1 0)
- 38.55°, intensity 18, (1 1 1)
- 44.81°, intensity 40, (2 0 0)
- 50.45°, intensity 2, (2 1 0)
- 55.66°, intensity 37, (2 1 1)
- 65.24°, intensity 23, (2 2 0)
- 74.13°, intensity 16, (3 1 0)
- 78.41°, intensity 5, (3 1 1)
- 82.63°, intensity 7, (2 2 2)

=====

Entry 3:
Simulated XRD peak list
Compound: Li2CoAgF6
Radiation: CuKα
Structure: a structure optimized by DFT (PBE+U)
Neutral-atom scattering factors, no anomalous dispersion.

a = 8.2851 Å, b = 8.2851 Å, c = 8.2851 Å
α = 90.00°, β = 90.00°, γ = 90.00°
Space group Fm-3m (No. 225)
Symmetry-distinct sites (fractional):
Li  0.2500  0.2500  0.2500 x8
Co  0.0000  0.0000  0.0000 x4
Ag  0.0000  0.0000  0.5000 x4
F  0.0000  0.0000  0.2255 x24

Main lines, low angle first (2θ from 15° to 90°):
- 21.45°, intensity 100, (2 0 0)
- 30.52°, intensity 42, (2 2 0)
- 35.95°, intensity 8, (3 1 1)
- 43.70°, intensity 29, (4 0 0)
- 49.18°, intensity 37, (4 2 0)
- 54.24°, intensity 15, (4 2 2)
- 63.52°, intensity 16, (4 4 0)
- 67.88°, intensity 16, (6 0 0)
- 72.10°, intensity 8, (6 2 0)
- 88.26°, intensity 9, (6 4 2)

=====

Entry 4:
Simulated XRD peak list
Compound: MgCo6Ag2P6H4O24
Radiation: CuKα
Structure: a structure optimized by DFT (PBE+U)
Neutral-atom scattering factors, no anomalous dispersion.

a = 6.7062 Å, b = 8.7140 Å, c = 8.7710 Å
α = 91.05°, β = 107.61°, γ = 106.40°
Space group P1 (No. 1)
Symmetry-distinct sites (fractional):
Mg  0.0000  0.0000  0.0000 x1
Co  0.1625  0.1746  0.7833 x1
Co  0.2702  0.8297  0.7231 x1
Co  0.5172  0.9245  0.4803 x1
Co  0.6447  0.5963  0.3884 x1
Co  0.7751  0.4934  0.0658 x1
Co  0.9893  0.2833  0.1500 x1
Ag  0.1621  0.7813  0.1674 x1
Ag  0.5997  0.9076  0.0876 x1
P  0.1429  0.5546  0.4293 x1
P  0.2889  0.5443  0.9882 x1
P  0.4849  0.2046  0.2155 x1
P  0.6348  0.1823  0.7820 x1
P  0.7789  0.7613  0.7597 x1
P  0.9918  0.9720  0.4170 x1
H  0.0712  0.2465  0.4677 x1
H  0.2100  0.4950  0.7247 x1
H  0.5766  0.2694  0.4762 x1
H  0.6878  0.4487  0.7419 x1
O  0.0032  0.8938  0.7750 x1
O  0.0266  0.1342  0.5199 x1
O  0.0924  0.4902  0.0520 x1
O  0.1270  0.3763  0.3935 x1
O  0.1689  0.5928  0.6087 x1
O  0.1879  0.9082  0.4919 x1
O  0.2446  0.4301  0.8303 x1
O  0.2600  0.1991  0.0947 x1
O  0.2998  0.7153  0.9334 x1
O  0.3501  0.6604  0.3886 x1
O  0.4254  0.0789  0.8135 x1
O  0.4713  0.0356  0.2731 x1
O  0.5051  0.5449  0.1172 x1
O  0.5399  0.3271  0.3729 x1
O  0.5903  0.8386  0.6985 x1
O  0.6283  0.1599  0.6060 x1
O  0.6531  0.3673  0.8204 x1
O  0.6682  0.2609  0.1413 x1
O  0.7383  0.6060  0.6521 x1
O  0.7710  0.8538  0.4197 x1
O  0.8052  0.7376  0.9422 x1
O  0.8404  0.1528  0.9019 x1
O  0.9299  0.5897  0.3236 x1
O  0.9758  0.0084  0.2395 x1

Main lines, low angle first (2θ from 15° to 90°):
- 22.83°, intensity 34, (0 2 -1)
- 29.11°, intensity 46, (1 -1 2)
- 29.32°, intensity 34, (2 0 0)
- 29.93°, intensity 32, (-2 1 2)
- 32.17°, intensity 54, (0 2 2)
- 32.36°, intensity 100, (0 0 3)
- 32.92°, intensity 36, (0 1 -3)
- 33.34°, intensity 47, (-2 2 2)
- 34.33°, intensity 64, (2 1 -2)
- 41.19°, intensity 43, (0 2 3)

=====

Entry 5:
Simulated XRD peak list
Compound: MgCo6Ag2P6H4O24
Radiation: CuKα
Structure: a structure optimized by DFT (PBE+U)
Neutral-atom scattering factors, no anomalous dispersion.

a = 6.5064 Å, b = 8.9227 Å, c = 9.0492 Å
α = 86.49°, β = 73.61°, γ = 74.43°
Space group P1 (No. 1)
Symmetry-distinct sites (fractional):
Mg  0.0000  0.0000  0.0000 x1
Co  0.0418  0.9561  0.2825 x1
Co  0.2512  0.2087  0.1725 x1
Co  0.4184  0.2836  0.4623 x1
Co  0.5589  0.5976  0.5331 x1
Co  0.7803  0.5099  0.7998 x1
Co  0.9097  0.7437  0.8474 x1
Ag  0.3901  0.6252  0.1355 x1
Ag  0.9406  0.5703  0.1638 x1
P  0.0675  0.6493  0.4958 x1
P  0.3055  0.4137  0.8306 x1
P  0.3945  0.8435  0.8253 x1
P  0.5628  0.9045  0.2844 x1
P  0.7380  0.2714  0.0936 x1
P  0.9105  0.2367  0.5107 x1
H  0.3493  0.1591  0.7792 x1
H  0.4897  0.9375  0.5341 x1
H  0.8372  0.2177  0.7771 x1
H  0.9882  0.9045  0.5676 x1
O  0.0354  0.7929  0.6072 x1
O  0.0714  0.7162  0.3333 x1
O  0.0798  0.5149  0.8189 x1
O  0.1278  0.2729  0.4101 x1
O  0.1794  0.7893  0.9123 x1
O  0.2907  0.5328  0.4968 x1
O  0.2930  0.3657  0.9981 x1
O  0.3141  0.0206  0.8672 x1
O  0.3660  0.2626  0.7212 x1
O  0.3707  0.9747  0.2098 x1
O  0.4627  0.8156  0.6506 x1
O  0.4862  0.4996  0.7616 x1
O  0.5135  0.0070  0.4369 x1
O  0.5273  0.2631  0.2226 x1
O  0.5713  0.7337  0.3313 x1
O  0.5871  0.7549  0.8958 x1
O  0.7066  0.3442  0.4670 x1
O  0.7356  0.4419  0.0472 x1
O  0.7640  0.1714  0.9497 x1
O  0.7879  0.9147  0.1749 x1
O  0.8698  0.5799  0.5617 x1
O  0.9060  0.2755  0.6830 x1
O  0.9137  0.0650  0.5025 x1
O  0.9523  0.1859  0.1470 x1

Main lines, low angle first (2θ from 15° to 90°):
- 22.81°, intensity 46, (0 1 -2)
- 29.48°, intensity 51, (0 2 2)
- 30.56°, intensity 62, (2 2 1)
- 30.90°, intensity 100, (0 0 3)
- 31.22°, intensity 51, (0 3 0)
- 32.51°, intensity 93, (0 1 -3)
- 32.78°, intensity 73, (0 3 -1)
- 33.07°, intensity 90, (2 2 2)
- 34.06°, intensity 59, (2 -1 0)
- 37.90°, intensity 50, (0 3 2)

=====

Entry 6:
Simulated XRD peak list
Compound: MgCo6Ag2P6H4O24
Radiation: CuKα
Structure: a structure optimized by DFT (PBE+U)
Neutral-atom scattering factors, no anomalous dispersion.

a = 6.4823 Å, b = 8.3508 Å, c = 9.3644 Å
α = 91.02°, β = 107.38°, γ = 104.19°
Space group P1 (No. 1)
Symmetry-distinct sites (fractional):
Mg  0.0000  0.0000  0.0000 x1
Co  0.1155  0.8713  0.5456 x1
Co  0.2511  0.6883  0.3067 x1
Co  0.3531  0.4294  0.0957 x1
Co  0.6378  0.5708  0.8977 x1
Co  0.7392  0.3105  0.6875 x1
Co  0.8747  0.1286  0.4481 x1
Ag  0.2857  0.4773  0.5283 x1
Ag  0.7048  0.5226  0.4658 x1
P  0.1154  0.6362  0.8276 x1
P  0.2495  0.2080  0.7817 x1
P  0.3608  0.1497  0.3621 x1
P  0.6294  0.8506  0.6312 x1
P  0.7408  0.7918  0.2121 x1
P  0.8752  0.3635  0.1662 x1
H  0.2090  0.9076  0.8443 x1
H  0.4565  0.9833  0.2196 x1
H  0.5329  0.0162  0.7733 x1
H  0.7809  0.0921  0.1492 x1
O  0.0444  0.2453  0.6645 x1
O  0.0872  0.4856  0.1519 x1
O  0.1069  0.6628  0.6642 x1
O  0.1348  0.8191  0.9058 x1
O  0.1708  0.0944  0.4310 x1
O  0.2082  0.2021  0.9388 x1
O  0.2812  0.0297  0.7484 x1
O  0.3105  0.0039  0.2272 x1
O  0.3217  0.5768  0.9122 x1
O  0.3624  0.3085  0.2860 x1
O  0.4011  0.8370  0.5104 x1
O  0.4655  0.3336  0.7754 x1
O  0.5247  0.6660  0.2178 x1
O  0.5886  0.1620  0.4826 x1
O  0.6288  0.6920  0.7077 x1
O  0.6691  0.4229  0.0811 x1
O  0.6787  0.9970  0.7647 x1
O  0.7080  0.9699  0.2453 x1
O  0.7836  0.7982  0.0555 x1
O  0.8191  0.9055  0.5620 x1
O  0.8566  0.1805  0.0885 x1
O  0.8833  0.3372  0.3296 x1
O  0.9036  0.5141  0.8420 x1
O  0.9457  0.7545  0.3296 x1

Main lines, low angle first (2θ from 15° to 90°):
- 29.93°, intensity 46, (2 0 0)
- 30.28°, intensity 51, (-2 1 2)
- 31.10°, intensity 47, (0 1 -3)
- 31.40°, intensity 100, (0 2 2)
- 31.61°, intensity 45, (-2 2 1)
- 31.96°, intensity 51, (1 2 -2)
- 32.40°, intensity 53, (1 -2 2)
- 33.91°, intensity 45, (0 3 -1)
- 34.10°, intensity 48, (-2 2 2)
- 40.93°, intensity 40, (0 3 2)

=====

Entry 7:
Simulated XRD peak list
Compound: MgCo6Ag2P6H4O24
Radiation: CuKα
Structure: a structure optimized by DFT (PBE+U)
Neutral-atom scattering factors, no anomalous dispersion.

a = 6.3967 Å, b = 9.0780 Å, c = 9.1986 Å
α = 83.35°, β = 76.64°, γ = 74.26°
Space group P1 (No. 1)
Symmetry-distinct sites (fractional):
Mg  0.0000  0.0000  0.0000 x1
Co  0.1525  0.6205  0.2844 x1
Co  0.1673  0.3452  0.9008 x1
Co  0.3833  0.8387  0.3767 x1
Co  0.6073  0.7305  0.6453 x1
Co  0.6609  0.2582  0.1673 x1
Co  0.7543  0.0292  0.7326 x1
Ag  0.2513  0.6977  0.9934 x1
Ag  0.8177  0.7377  0.0749 x1
P  0.1122  0.6654  0.6618 x1
P  0.2553  0.0919  0.6724 x1
P  0.4283  0.0663  0.0867 x1
P  0.6367  0.4190  0.8809 x1
P  0.6957  0.4984  0.3664 x1
P  0.8480  0.9469  0.3704 x1
H  0.1662  0.4425  0.5736 x1
H  0.3013  0.1400  0.4163 x1
H  0.6900  0.4031  0.6396 x1
H  0.7653  0.1847  0.4430 x1
O  0.0517  0.0397  0.7687 x1
O  0.0744  0.8320  0.3695 x1
O  0.1267  0.5510  0.5329 x1
O  0.1400  0.5601  0.8000 x1
O  0.2266  0.1239  0.0075 x1
O  0.2411  0.2610  0.6878 x1
O  0.2499  0.0708  0.5013 x1
O  0.2963  0.7512  0.6057 x1
O  0.3982  0.1734  0.2149 x1
O  0.4196  0.3942  0.9828 x1
O  0.4412  0.9004  0.1529 x1
O  0.4676  0.9817  0.7127 x1
O  0.4971  0.6076  0.3028 x1
O  0.6202  0.5899  0.8372 x1
O  0.6512  0.0687  0.9689 x1
O  0.6721  0.8548  0.4196 x1
O  0.6770  0.5241  0.5325 x1
O  0.6841  0.3298  0.3554 x1
O  0.6970  0.3244  0.7360 x1
O  0.8046  0.0726  0.4908 x1
O  0.8234  0.3499  0.9745 x1
O  0.8498  0.0401  0.2196 x1
O  0.8842  0.7850  0.6782 x1
O  0.9212  0.5185  0.2723 x1

Main lines, low angle first (2θ from 15° to 90°):
- 20.39°, intensity 61, (1 1 -1)
- 27.76°, intensity 79, (0 2 2)
- 28.16°, intensity 64, (1 1 -2)
- 29.67°, intensity 60, (2 0 0)
- 30.01°, intensity 59, (0 0 3)
- 30.76°, intensity 92, (0 3 0)
- 31.82°, intensity 66, (0 3 1)
- 32.31°, intensity 100, (0 1 -3)
- 33.27°, intensity 60, (2 2 2)
- 33.70°, intensity 67, (2 -1 1)

=====

Entry 8:
Simulated XRD peak list
Compound: MgCo6Ag2P6H4O24
Radiation: CuKα
Structure: a structure optimized by DFT (PBE+U)
Neutral-atom scattering factors, no anomalous dispersion.

a = 6.5107 Å, b = 8.9319 Å, c = 9.0907 Å
α = 85.99°, β = 71.72°, γ = 74.55°
Space group P1 (No. 1)
Symmetry-distinct sites (fractional):
Mg  0.0000  0.0000  0.0000 x1
Co  0.2293  0.1397  0.2437 x1
Co  0.2596  0.7150  0.0471 x1
Co  0.3756  0.2355  0.5203 x1
Co  0.5949  0.5060  0.4261 x1
Co  0.7424  0.5723  0.7127 x1
Co  0.9342  0.8382  0.7328 x1
Ag  0.2306  0.8413  0.4671 x1
Ag  0.8165  0.8863  0.4147 x1
P  0.1089  0.5202  0.3550 x1
P  0.2431  0.5036  0.7805 x1
P  0.4064  0.9374  0.7528 x1
P  0.6042  0.7919  0.1485 x1
P  0.7223  0.2318  0.1741 x1
P  0.8542  0.2054  0.5989 x1
H  0.1747  0.4417  0.1091 x1
H  0.3130  0.1906  0.8275 x1
H  0.6474  0.5423  0.1051 x1
H  0.7873  0.2817  0.8442 x1
O  0.0219  0.6067  0.7508 x1
O  0.0928  0.1913  0.4844 x1
O  0.1198  0.6764  0.2764 x1
O  0.1503  0.3962  0.2200 x1
O  0.1983  0.8688  0.8135 x1
O  0.2326  0.5208  0.9506 x1
O  0.2626  0.3313  0.7457 x1
O  0.2883  0.4613  0.4370 x1
O  0.3323  0.0773  0.8754 x1
O  0.3777  0.9119  0.1556 x1
O  0.4440  0.0022  0.5881 x1
O  0.4461  0.5603  0.6701 x1
O  0.5216  0.1689  0.2770 x1
O  0.6028  0.7290  0.3126 x1
O  0.6081  0.6464  0.0499 x1
O  0.6126  0.8100  0.7658 x1
O  0.6835  0.2689  0.5108 x1
O  0.6958  0.4031  0.2071 x1
O  0.7601  0.2010  0.0001 x1
O  0.8099  0.8508  0.0658 x1
O  0.8112  0.3297  0.7347 x1
O  0.8267  0.0574  0.6872 x1
O  0.8753  0.5286  0.4728 x1
O  0.9457  0.1215  0.1988 x1

Main lines, low angle first (2θ from 15° to 90°):
- 22.94°, intensity 26, (0 2 -1)
- 28.62°, intensity 18, (1 -2 1)
- 29.38°, intensity 19, (1 1 -2)
- 29.53°, intensity 19, (0 2 2)
- 29.94°, intensity 48, (2 1 2)
- 31.14°, intensity 54, (0 3 0)
- 32.72°, intensity 100, (2 2 2)
- 32.95°, intensity 22, (0 1 3)
- 37.89°, intensity 32, (0 2 3)
- 48.48°, intensity 16, (3 3 0)